Entry 1:
Theoretical X-ray diffraction stick pattern
Compound: Hf4Co3Ni
Radiation: copper Kα
Structure: a cell relaxed with PBE

Most intense lines, 2θ from 10° to 90°, low angle first:
| two_theta | d_spacing | I_rel | hkl |
| --- | --- | --- | --- |
| 28.24 | 3.160 | 284 | 1 0 4 |
| 40.36 | 2.234 | 1000 | 1 1 0 |
| 49.99 | 1.824 | 84 | 0 2 4 |
| 58.41 | 1.580 | 167 | 2 0 8 |
| 66.12 | 1.413 | 114 | 2 1 4 |
| 73.36 | 1.291 | 252 | 3 0 0 |

```
data_Hf4Co3Ni
_cell_length_a 4.4718
_cell_length_b 4.4718
_cell_length_c 21.8653
_cell_angle_alpha 90.00
_cell_angle_beta 90.00
_cell_angle_gamma 120.00
_space_group_name_H-M_alt 'R -3 m'
_space_group_IT_number 166
_space_group_name_Hall '-R 3 2"'
loop_
_atom_site_label
_atom_site_type_symbol
_atom_site_fract_x
_atom_site_fract_y
_atom_site_fract_z
Hf1 Hf 0.0000 0.0000 0.1246
Hf2 Hf 0.0000 0.0000 0.3747
Co1 Co 0.0000 0.0000 0.0000
Co2 Co 0.0000 0.0000 0.2508
Ni1 Ni 0.0000 0.0000 0.5000
```


Entry 2:
Theoretical X-ray diffraction stick pattern
Compound: Hf6Co3Ni
Radiation: copper Kα
Structure: a cell relaxed with PBE

Most intense lines, 2θ from 10° to 90°, low angle first:
| two_theta | d_spacing | I_rel | hkl |
| --- | --- | --- | --- |
| 30.60 | 2.922 | 842 | 1 1 -2 |
| 31.42 | 2.847 | 552 | 2 0 -4 |
| 35.84 | 2.506 | 532 | 2 1 1 |
| 37.93 | 2.372 | 670 | 1 0 4 |
| 40.05 | 2.251 | 1000 | 3 1 0 |
| 41.34 | 2.184 | 626 | 2 1 -4 |

```
data_Hf6Co3Ni
_cell_length_a 9.7058
_cell_length_b 3.4038
_cell_length_c 11.7381
_cell_angle_alpha 90.00
_cell_angle_beta 111.91
_cell_angle_gamma 90.00
_space_group_name_H-M_alt 'P 1 21/m 1'
_space_group_IT_number 11
_space_group_name_Hall '-P 2yb'
loop_
_atom_site_label
_atom_site_type_symbol
_atom_site_fract_x
_atom_site_fract_y
_atom_site_fract_z
Hf1 Hf 0.0301 0.2500 0.3871
Hf2 Hf 0.0638 0.2500 0.8959
Hf3 Hf 0.2489 0.7500 0.3185
Hf4 Hf 0.3148 0.7500 0.7968
Hf5 Hf 0.3377 0.7500 0.0880
Hf6 Hf 0.3892 0.2500 0.5569
Co1 Co 0.1487 0.2500 0.1428
Co2 Co 0.1916 0.7500 0.5478
Co3 Co 0.4011 0.2500 0.9597
Ni1 Ni 0.4436 0.2500 0.2829
```